The following is a calculated powder diffraction line list of NaPm2In9. It was derived from the GGA-PBE geometry in Alexandria, using Cu Kα (λ = 1.5418 Å).
Intensities are scaled so that the largest is 100.

Most intense lines, 5° ≤ 2θ ≤ 70°, in order of rising 2θ:
| two_theta | I/Imax | (hkl) |
| --- | --- | --- |
| 6.2 | 8 | 0 0 1 |
| 20.0 | 3 | 1 0 1 |
| 33.0 | 100 | 1 1 3 |
| 38.1 | 17 | 0 0 6 |
| 38.4 | 33 | 2 0 0 |
| 55.3 | 22 | 2 0 6 |
| 55.5 | 11 | 2 2 0 |
| 65.7 | 13 | 1 1 9 |
| 66.1 | 26 | 3 1 3 |
| 69.3 | 11 | 2 2 6 |

Structure:
a b c (Å): 4.6851 4.6851 14.1581
angles (deg): 90.00 90.00 90.00
Space group P4/mmm (No. 123)
One atom of each set of equivalent atoms:
Na1 0.0000 0.0000 0.0000 (multiplicity 1)
Pm1 0.0000 0.0000 0.3340 (multiplicity 2)
In1 0.0000 0.5000 0.1635 (multiplicity 4)
In2 0.0000 0.5000 0.5000 (multiplicity 2)
In3 0.5000 0.5000 0.0000 (multiplicity 1)
In4 0.5000 0.5000 0.3355 (multiplicity 2)